Record 1
Computed powder diffractogram
Compound: CsRbCrF6
Radiation: Cu Ka
Structure: a crystal structure in Alexandria, relaxed with PBE+U
Peak positions follow from Bragg's law for the DFT cell and can differ from measured ones.

The 6 most intense peaks (10 to 90 degrees two-theta), by intensity:
| Position (°2θ) | I_rel |
| --- | --- |
| 24.32 | 100 |
| 38.35 | 69 |
| 29.19 | 52 |
| 48.91 | 22 |
| 39.47 | 20 |
| 49.83 | 15 |

Atomic structure:
Cell: 6.1168 6.1168 5.0603 Å, 90.08 90.08 60.07°
Element x y z (fractional)
Cs  0.0000  0.0000  0.0000
Rb  0.6667  0.6667  0.4211
Cr  0.3334  0.3334  0.6884
F  0.0414  0.4793  0.8953
F  0.1881  0.1881  0.4788
F  0.1884  0.6235  0.4793
F  0.4793  0.0414  0.8953
F  0.4795  0.4795  0.8961
F  0.6235  0.1884  0.4793

---

Record 2
Computed powder diffractogram
Compound: RbCrH4C4O10
Radiation: Cu Ka
Structure: a crystal structure in Alexandria, relaxed with PBE+U
Peak positions follow from Bragg's law for the DFT cell and can differ from measured ones.

The 6 most intense peaks (10 to 90 degrees two-theta), by intensity:
| Position (°2θ) | I_rel |
| --- | --- |
| 19.84 | 100 |
| 30.00 | 35 |
| 19.63 | 31 |
| 31.24 | 28 |
| 40.35 | 23 |
| 24.91 | 19 |

Atomic structure:
Cell: 4.9984 4.9984 10.3924 Å, 90.72 90.72 93.30°
Element x y z (fractional)
Rb  0.0000  0.0000  0.0000
Cr  0.5000  0.5000  0.5000
H  0.0453  0.2719  0.4003
H  0.2719  0.0453  0.4003
H  0.7281  0.9547  0.5997
H  0.9547  0.7281  0.5997
C  0.2632  0.4777  0.7461
C  0.4777  0.2632  0.7461
C  0.5223  0.7368  0.2539
C  0.7368  0.5223  0.2539
O  0.1203  0.5102  0.8399
O  0.2173  0.2173  0.4401
O  0.2494  0.6102  0.6378
O  0.3898  0.7506  0.3622
O  0.4898  0.8797  0.1601
O  0.5102  0.1203  0.8399
O  0.6102  0.2494  0.6378
O  0.7506  0.3898  0.3622
O  0.7827  0.7827  0.5599
O  0.8797  0.4898  0.1601